1.
PrMg5Ga3: calculated powder diffraction line list (a wavelength of 1.5418 Å), based on DFT lattice parameters and positions (PBE).
Kinematic intensities with the Lorentz-polarization factor, no thermal factor.

```
PrMg5Ga3
1.0
1.771 -7.549 0.000
1.771 7.549 0.000
0.000 0.000 15.100
Pr Mg Ga
2 10 6
direct
0.163 0.837 0.750 Pr
0.837 0.163 0.250 Pr
0.000 0.000 0.000 Mg
0.000 0.000 0.500 Mg
0.194 0.806 0.068 Mg
0.194 0.806 0.432 Mg
0.458 0.542 0.654 Mg
0.458 0.542 0.846 Mg
0.542 0.458 0.154 Mg
0.542 0.458 0.346 Mg
0.806 0.194 0.568 Mg
0.806 0.194 0.932 Mg
0.156 0.844 0.250 Ga
0.374 0.626 0.072 Ga
0.374 0.626 0.428 Ga
0.626 0.374 0.572 Ga
0.626 0.374 0.928 Ga
0.844 0.156 0.750 Ga
```

Most intense lines, 2θ = 10–90°, in order of rising 2θ:
| d (Å) | I/Imax |
| --- | --- |
| 7.550 | 35.2 |
| 6.752 | 39.5 |
| 3.775 | 53.7 |
| 3.137 | 27.3 |
| 2.845 | 58.3 |
| 2.704 | 100.0 |
| 2.546 | 40.1 |
| 2.516 | 46.1 |
| 2.387 | 26.9 |
| 2.298 | 44.7 |
| 2.093 | 66.9 |
| 1.656 | 22.6 |



2.
PrMg3Ga2: calculated powder diffraction line list (a wavelength of 1.5418 Å), based on DFT lattice parameters and positions (PBE).
Kinematic intensities with the Lorentz-polarization factor, no thermal factor.

```
PrMg3Ga2
1.0
8.352 -2.267 0.000
8.352 2.267 0.000
-4.315 0.000 7.314
Pr Mg Ga
2 6 4
direct
0.132 0.132 0.132 Pr
0.868 0.868 0.868 Pr
0.000 0.000 0.333 Mg
0.000 0.000 0.667 Mg
0.335 0.335 0.528 Mg
0.336 0.336 0.144 Mg
0.664 0.664 0.856 Mg
0.665 0.665 0.472 Mg
0.201 0.201 0.701 Ga
0.500 0.500 0.148 Ga
0.500 0.500 0.852 Ga
0.799 0.799 0.299 Ga
```

Most intense lines, 2θ = 10–90°, in order of rising 2θ:
| d (Å) | I/Imax |
| --- | --- |
| 7.313 | 93.2 |
| 4.246 | 30.7 |
| 3.294 | 45.5 |
| 3.029 | 55.5 |
| 2.674 | 100.0 |
| 2.603 | 71.3 |
| 2.399 | 24.4 |
| 2.277 | 31.7 |
| 2.267 | 39.1 |
| 1.998 | 27.3 |
| 1.906 | 18.6 |
| 1.440 | 28.5 |



3.
Pr4MgGa12: calculated powder diffraction line list (a wavelength of 1.5418 Å), based on DFT lattice parameters and positions (PBE).
Kinematic intensities with the Lorentz-polarization factor, no thermal factor.

```
Pr4MgGa12
1.0
-4.482 4.482 4.482
4.482 -4.482 4.482
4.482 4.482 -4.482
Pr Mg Ga
4 1 12
direct
0.000 0.000 0.500 Pr
0.000 0.500 0.000 Pr
0.500 0.000 0.000 Pr
0.500 0.500 0.500 Pr
0.000 0.000 0.000 Mg
0.000 0.315 0.315 Ga
0.000 0.685 0.685 Ga
0.250 0.500 0.750 Ga
0.250 0.750 0.500 Ga
0.315 0.000 0.315 Ga
0.315 0.315 0.000 Ga
0.500 0.250 0.750 Ga
0.500 0.750 0.250 Ga
0.685 0.000 0.685 Ga
0.685 0.685 0.000 Ga
0.750 0.250 0.500 Ga
0.750 0.500 0.250 Ga
```

Most intense lines, 2θ = 10–90°, in order of rising 2θ:
| d (Å) | I/Imax |
| --- | --- |
| 4.482 | 7.4 |
| 3.169 | 23.8 |
| 2.588 | 100.0 |
| 2.241 | 52.2 |
| 2.113 | 10.5 |
| 2.004 | 11.0 |
| 1.911 | 8.8 |
| 1.585 | 27.0 |
| 1.494 | 8.7 |
| 1.417 | 10.1 |
| 1.351 | 26.6 |
| 1.294 | 6.8 |



4.
PrMg5Ga2: calculated powder diffraction line list (a wavelength of 1.5418 Å), based on DFT lattice parameters and positions (PBE).
Kinematic intensities with the Lorentz-polarization factor, no thermal factor.

```
PrMg5Ga2
1.0
4.330 0.000 0.000
0.000 8.247 0.000
0.000 0.000 10.292
Pr Mg Ga
2 10 4
direct
0.000 0.000 0.000 Pr
0.500 0.500 0.500 Pr
0.000 0.183 0.345 Mg
0.000 0.183 0.655 Mg
0.000 0.500 0.000 Mg
0.000 0.817 0.345 Mg
0.000 0.817 0.655 Mg
0.500 0.000 0.500 Mg
0.500 0.317 0.155 Mg
0.500 0.317 0.845 Mg
0.500 0.683 0.155 Mg
0.500 0.683 0.845 Mg
0.000 0.500 0.272 Ga
0.000 0.500 0.728 Ga
0.500 0.000 0.228 Ga
0.500 0.000 0.772 Ga
```

Most intense lines, 2θ = 10–90°, in order of rising 2θ:
| d (Å) | I/Imax |
| --- | --- |
| 6.436 | 60.1 |
| 4.124 | 54.1 |
| 3.074 | 100.0 |
| 2.868 | 49.1 |
| 2.689 | 64.3 |
| 2.656 | 21.3 |
| 2.252 | 18.7 |
| 2.183 | 38.3 |
| 2.165 | 27.8 |
| 2.116 | 51.2 |
| 1.537 | 24.7 |
| 1.319 | 15.3 |



5.
PrMg2Ga2Si: calculated powder diffraction line list (a wavelength of 1.5418 Å), based on DFT lattice parameters and positions (PBE).
Kinematic intensities with the Lorentz-polarization factor, no thermal factor.

```
PrMg2Ga2Si
1.0
5.235 0.000 0.000
0.000 5.235 0.000
0.000 0.000 10.860
Pr Mg Ga Si
2 4 4 2
direct
0.000 0.000 0.000 Pr
0.500 0.500 0.500 Pr
0.000 0.500 0.250 Mg
0.000 0.500 0.750 Mg
0.500 0.000 0.250 Mg
0.500 0.000 0.750 Mg
0.000 0.000 0.284 Ga
0.000 0.000 0.716 Ga
0.500 0.500 0.216 Ga
0.500 0.500 0.784 Ga
0.000 0.000 0.500 Si
0.500 0.500 0.000 Si
```

Most intense lines, 2θ = 10–90°, in order of rising 2θ:
| d (Å) | I/Imax |
| --- | --- |
| 4.716 | 32.1 |
| 3.702 | 100.0 |
| 2.978 | 64.3 |
| 2.715 | 32.0 |
| 2.618 | 77.1 |
| 2.189 | 31.5 |
| 1.966 | 39.4 |
| 1.884 | 43.1 |
| 1.851 | 27.2 |
| 1.656 | 19.8 |
| 1.529 | 21.6 |
| 1.293 | 17.0 |



6.
Mg3Ga2Pt: calculated powder diffraction line list (a wavelength of 1.5418 Å), based on DFT lattice parameters and positions (PBE).
Kinematic intensities with the Lorentz-polarization factor, no thermal factor.

```
Mg3Ga2Pt
1.0
7.422 0.000 0.000
0.000 8.079 0.000
-0.104 0.000 7.473
Mg Ga Pt
12 8 4
direct
0.142 0.127 0.040 Mg
0.142 0.373 0.540 Mg
0.222 0.717 0.171 Mg
0.222 0.783 0.671 Mg
0.342 0.059 0.390 Mg
0.342 0.441 0.890 Mg
0.658 0.559 0.110 Mg
0.658 0.941 0.610 Mg
0.778 0.217 0.329 Mg
0.778 0.283 0.829 Mg
0.858 0.627 0.460 Mg
0.858 0.873 0.960 Mg
0.022 0.071 0.665 Ga
0.022 0.429 0.165 Ga
0.473 0.655 0.434 Ga
0.473 0.845 0.934 Ga
0.527 0.155 0.066 Ga
0.527 0.345 0.566 Ga
0.978 0.571 0.835 Ga
0.978 0.929 0.335 Ga
0.366 0.114 0.750 Pt
0.366 0.386 0.250 Pt
0.634 0.614 0.750 Pt
0.634 0.886 0.250 Pt
```

Most intense lines, 2θ = 10–90°, in order of rising 2θ:
| d (Å) | I/Imax |
| --- | --- |
| 7.421 | 92.7 |
| 5.465 | 47.7 |
| 4.433 | 100.0 |
| 3.736 | 36.3 |
| 3.553 | 85.1 |
| 2.532 | 41.0 |
| 2.488 | 55.6 |
| 2.264 | 29.4 |
| 2.120 | 48.1 |
| 2.099 | 42.6 |
| 2.035 | 33.8 |
| 2.023 | 52.3 |



7.
Mg2GaPt3: calculated powder diffraction line list (a wavelength of 1.5418 Å), based on DFT lattice parameters and positions (PBE).
Kinematic intensities with the Lorentz-polarization factor, no thermal factor.

```
Mg2GaPt3
1.0
2.747 1.586 3.910
-2.747 1.586 3.910
0.000 -3.172 3.910
Mg Ga Pt
2 1 3
direct
0.125 0.125 0.125 Mg
0.875 0.875 0.875 Mg
0.500 0.500 0.500 Ga
0.000 0.500 0.500 Pt
0.500 0.000 0.500 Pt
0.500 0.500 0.000 Pt
```

Most intense lines, 2θ = 10–90°, in order of rising 2θ:
| d (Å) | I/Imax |
| --- | --- |
| 4.410 | 75.0 |
| 3.910 | 77.1 |
| 2.332 | 80.8 |
| 2.248 | 45.8 |
| 2.205 | 100.0 |
| 1.955 | 23.4 |
| 1.848 | 50.0 |
| 1.671 | 22.4 |
| 1.374 | 25.8 |
| 1.296 | 19.6 |
| 1.248 | 18.9 |
| 1.124 | 24.3 |



8.
Mg7GaPt4: calculated powder diffraction line list (a wavelength of 1.5418 Å), based on DFT lattice parameters and positions (PBE).
Kinematic intensities with the Lorentz-polarization factor, no thermal factor.

```
Mg7GaPt4
1.0
6.443 -2.405 0.000
6.443 2.405 0.000
-5.635 0.000 7.436
Mg Ga Pt
7 1 4
direct
0.000 0.000 0.000 Mg
0.179 0.179 0.620 Mg
0.281 0.281 0.131 Mg
0.433 0.433 0.647 Mg
0.567 0.567 0.353 Mg
0.719 0.719 0.869 Mg
0.821 0.821 0.380 Mg
0.500 0.500 0.000 Ga
0.068 0.068 0.779 Pt
0.197 0.197 0.346 Pt
0.803 0.803 0.654 Pt
0.932 0.932 0.221 Pt
```

Most intense lines, 2θ = 10–90°, in order of rising 2θ:
| d (Å) | I/Imax |
| --- | --- |
| 4.613 | 35.2 |
| 4.356 | 66.5 |
| 3.718 | 25.0 |
| 3.272 | 100.0 |
| 3.175 | 28.3 |
| 2.405 | 54.1 |
| 2.270 | 53.8 |
| 2.232 | 34.0 |
| 2.205 | 48.5 |
| 2.135 | 58.5 |
| 1.893 | 23.1 |
| 1.636 | 26.0 |



9.
Mg4Ga6Pt7: calculated powder diffraction line list (a wavelength of 1.5418 Å), based on DFT lattice parameters and positions (PBE).
Kinematic intensities with the Lorentz-polarization factor, no thermal factor.

```
Mg4Ga6Pt7
1.0
-4.133 4.133 4.133
4.133 -4.133 4.133
4.133 4.133 -4.133
Mg Ga Pt
4 6 7
direct
0.000 0.000 0.500 Mg
0.000 0.500 0.000 Mg
0.500 0.000 0.000 Mg
0.500 0.500 0.500 Mg
0.000 0.309 0.309 Ga
0.000 0.691 0.691 Ga
0.309 0.000 0.309 Ga
0.309 0.309 0.000 Ga
0.691 0.000 0.691 Ga
0.691 0.691 0.000 Ga
0.000 0.000 0.000 Pt
0.250 0.500 0.750 Pt
0.250 0.750 0.500 Pt
0.500 0.250 0.750 Pt
0.500 0.750 0.250 Pt
0.750 0.250 0.500 Pt
0.750 0.500 0.250 Pt
```

Most intense lines, 2θ = 10–90°, in order of rising 2θ:
| d (Å) | I/Imax |
| --- | --- |
| 4.133 | 69.5 |
| 3.374 | 50.2 |
| 2.386 | 100.0 |
| 2.209 | 74.4 |
| 2.066 | 78.6 |
| 1.848 | 20.3 |
| 1.762 | 33.4 |
| 1.461 | 44.4 |
| 1.341 | 19.1 |
| 1.246 | 28.2 |
| 1.219 | 20.6 |
| 1.125 | 20.8 |



10.
Mg2Ga2Pt: calculated powder diffraction line list (a wavelength of 1.5418 Å), based on DFT lattice parameters and positions (PBE).
Kinematic intensities with the Lorentz-polarization factor, no thermal factor.

```
Mg2Ga2Pt
1.0
-2.128 2.128 10.832
2.128 -2.128 10.832
2.128 2.128 -10.832
Mg Ga Pt
4 4 2
direct
0.051 0.301 0.750 Mg
0.301 0.051 0.250 Mg
0.699 0.949 0.750 Mg
0.949 0.699 0.250 Mg
0.194 0.444 0.750 Ga
0.444 0.194 0.250 Ga
0.556 0.806 0.750 Ga
0.806 0.556 0.250 Ga
0.375 0.625 0.750 Pt
0.625 0.375 0.250 Pt
```

Most intense lines, 2θ = 10–90°, in order of rising 2θ:
| d (Å) | I/Imax |
| --- | --- |
| 5.416 | 35.8 |
| 4.176 | 91.7 |
| 3.036 | 59.6 |
| 2.312 | 100.0 |
| 2.128 | 44.3 |
| 1.896 | 21.9 |
| 1.758 | 19.8 |
| 1.743 | 24.0 |
| 1.505 | 14.5 |
| 1.369 | 14.6 |
| 1.261 | 28.3 |
| 1.143 | 18.3 |



11.
Mg2Ga9Pt3: calculated powder diffraction line list (a wavelength of 1.5418 Å), based on DFT lattice parameters and positions (PBE).
Kinematic intensities with the Lorentz-polarization factor, no thermal factor.

```
Mg2Ga9Pt3
1.0
8.050 -3.549 0.000
8.050 3.549 0.000
-2.984 0.000 8.789
Mg Ga Pt
4 18 6
direct
0.134 0.187 0.276 Mg
0.187 0.134 0.776 Mg
0.813 0.866 0.224 Mg
0.866 0.813 0.724 Mg
0.093 0.810 0.028 Ga
0.177 0.373 0.595 Ga
0.190 0.907 0.472 Ga
0.248 0.580 0.243 Ga
0.291 0.421 0.899 Ga
0.320 0.680 0.750 Ga
0.373 0.177 0.095 Ga
0.420 0.752 0.257 Ga
0.421 0.291 0.399 Ga
0.579 0.709 0.601 Ga
0.580 0.248 0.743 Ga
0.627 0.823 0.905 Ga
0.680 0.320 0.250 Ga
0.709 0.579 0.101 Ga
0.752 0.420 0.757 Ga
0.810 0.093 0.528 Ga
0.823 0.627 0.405 Ga
0.907 0.190 0.972 Ga
0.000 0.500 0.000 Pt
0.093 0.691 0.495 Pt
0.309 0.907 0.005 Pt
0.500 0.000 0.500 Pt
0.691 0.093 0.995 Pt
0.907 0.309 0.505 Pt
```

Most intense lines, 2θ = 10–90°, in order of rising 2θ:
| d (Å) | I/Imax |
| --- | --- |
| 4.394 | 100.0 |
| 4.184 | 71.5 |
| 3.549 | 42.2 |
| 3.414 | 59.0 |
| 2.758 | 55.7 |
| 2.590 | 45.6 |
| 2.467 | 43.8 |
| 2.152 | 66.5 |
| 2.140 | 45.8 |
| 2.108 | 45.0 |
| 2.013 | 41.7 |
| 1.868 | 41.6 |



12.
Mg3Ga3Pt2: calculated powder diffraction line list (a wavelength of 1.5418 Å), based on DFT lattice parameters and positions (PBE).
Kinematic intensities with the Lorentz-polarization factor, no thermal factor.

```
Mg3Ga3Pt2
1.0
1.956 -4.889 0.000
1.956 4.889 0.000
0.000 0.000 15.301
Mg Ga Pt
6 6 4
direct
0.063 0.937 0.618 Mg
0.063 0.937 0.882 Mg
0.349 0.651 0.750 Mg
0.651 0.349 0.250 Mg
0.937 0.063 0.118 Mg
0.937 0.063 0.382 Mg
0.368 0.632 0.528 Ga
0.368 0.632 0.972 Ga
0.372 0.628 0.250 Ga
0.628 0.372 0.750 Ga
0.632 0.368 0.028 Ga
0.632 0.368 0.472 Ga
0.221 0.779 0.116 Pt
0.221 0.779 0.384 Pt
0.779 0.221 0.616 Pt
0.779 0.221 0.884 Pt
```

Most intense lines, 2θ = 10–90°, in order of rising 2θ:
| d (Å) | I/Imax |
| --- | --- |
| 4.889 | 77.1 |
| 3.533 | 100.0 |
| 3.013 | 33.9 |
| 2.959 | 31.4 |
| 2.634 | 36.9 |
| 2.471 | 23.6 |
| 2.340 | 20.4 |
| 2.248 | 53.9 |
| 2.095 | 34.4 |
| 2.060 | 32.1 |
| 1.956 | 27.1 |
| 1.873 | 44.0 |